# 1
Ti4Nb2Bi: theoretical powder diffractogram (Cu Kα (weighted mean of Kα1 and Kα2)), based on a structure optimized by DFT (PBE).
Peak positions follow from Bragg's law for the DFT cell and can differ from measured ones.

a b c (Å): 7.597 7.597 5.278
angles (deg): 97.38 97.38 61.00
Fractional coordinates of all 14 atoms:
Ti  0.063  0.063  0.268
Ti  0.144  0.669  0.188
Ti  0.331  0.856  0.812
Ti  0.345  0.219  0.185
Ti  0.522  0.066  0.695
Ti  0.781  0.655  0.815
Ti  0.934  0.478  0.305
Ti  0.937  0.937  0.732
Nb  0.058  0.253  0.796
Nb  0.664  0.336  0.000
Nb  0.676  0.324  0.500
Nb  0.747  0.942  0.204
Bi  0.249  0.502  0.681
Bi  0.498  0.751  0.319

Largest 10 diffraction maxima, in order of falling intensity, 15 to 90 degrees two-theta:
36.2 deg, I 100
40.2 deg, I 95
22.5 deg, I 85
36.6 deg, I 64
27.3 deg, I 61
42.9 deg, I 53
39.1 deg, I 48
35.6 deg, I 37
41.8 deg, I 35
42.4 deg, I 33


# 2
TmNbBi: theoretical powder diffractogram (Cu Kα (weighted mean of Kα1 and Kα2)), based on a structure optimized by DFT (PBE).
Peak positions follow from Bragg's law for the DFT cell and can differ from measured ones.

a b c (Å): 3.677 3.677 10.833
angles (deg): 90.00 90.00 90.00
Fractional coordinates of all 6 atoms:
Tm  0.250  0.250  0.102
Tm  0.750  0.750  0.898
Nb  0.250  0.250  0.433
Nb  0.750  0.750  0.567
Bi  0.250  0.250  0.712
Bi  0.750  0.750  0.288

Largest 10 diffraction maxima, in order of falling intensity, 15 to 90 degrees two-theta:
34.8 deg, I 100
34.5 deg, I 69
62.0 deg, I 38
29.4 deg, I 32
49.6 deg, I 25
55.2 deg, I 16
83.1 deg, I 12
41.4 deg, I 11
58.7 deg, I 10
66.7 deg, I 9


# 3
NbV3Bi: theoretical powder diffractogram (Cu Kα (weighted mean of Kα1 and Kα2)), based on a structure optimized by DFT (PBE).
Peak positions follow from Bragg's law for the DFT cell and can differ from measured ones.

a b c (Å): 4.686 4.686 4.686
angles (deg): 90.00 90.00 90.00
Fractional coordinates of all 5 atoms:
Nb  0.000  0.000  0.000
V  0.000  0.000  0.500
V  0.000  0.500  0.000
V  0.500  0.000  0.000
Bi  0.500  0.500  0.500

Largest 10 diffraction maxima, in order of falling intensity, 15 to 90 degrees two-theta:
26.9 deg, I 100
38.4 deg, I 64
47.5 deg, I 44
33.1 deg, I 43
55.5 deg, I 43
76.0 deg, I 23
62.7 deg, I 20
66.1 deg, I 17
69.5 deg, I 14
88.5 deg, I 13


# 4
ZrNbBi: theoretical powder diffractogram (Cu Kα (weighted mean of Kα1 and Kα2)), based on a structure optimized by DFT (PBE).
Peak positions follow from Bragg's law for the DFT cell and can differ from measured ones.

a b c (Å): 6.946 5.883 5.377
angles (deg): 76.03 55.27 48.70
Fractional coordinates of all 6 atoms:
Zr  0.162  0.838  0.162
Zr  0.838  0.162  0.838
Nb  0.095  0.405  0.095
Nb  0.405  0.095  0.405
Bi  0.500  0.500  0.500
Bi  0.750  0.750  0.750

Largest 10 diffraction maxima, in order of falling intensity, 15 to 90 degrees two-theta:
34.5 deg, I 100
36.8 deg, I 56
42.6 deg, I 37
56.0 deg, I 17
59.1 deg, I 17
20.6 deg, I 15
25.8 deg, I 15
63.4 deg, I 12
72.8 deg, I 11
80.5 deg, I 11


# 5
ZrNbBi: theoretical powder diffractogram (Cu Kα (weighted mean of Kα1 and Kα2)), based on a structure optimized by DFT (PBE).
Peak positions follow from Bragg's law for the DFT cell and can differ from measured ones.

a b c (Å): 3.807 4.807 7.444
angles (deg): 90.00 104.62 90.00
Fractional coordinates of all 6 atoms:
Zr  0.080  0.250  0.159
Zr  0.920  0.750  0.841
Nb  0.259  0.750  0.520
Nb  0.741  0.250  0.480
Bi  0.399  0.250  0.801
Bi  0.601  0.750  0.199

Largest 10 diffraction maxima, in order of falling intensity, 15 to 90 degrees two-theta:
35.4 deg, I 100
37.4 deg, I 41
66.2 deg, I 21
54.0 deg, I 15
62.2 deg, I 14
47.8 deg, I 11
22.2 deg, I 11
24.2 deg, I 7
42.1 deg, I 6
24.7 deg, I 5


# 6
Nd3Bi2: theoretical powder diffractogram (Cu Kα (weighted mean of Kα1 and Kα2)), based on a structure optimized by DFT (PBE).
Peak positions follow from Bragg's law for the DFT cell and can differ from measured ones.

a b c (Å): 9.327 9.327 9.327
angles (deg): 140.26 140.26 57.46
Fractional coordinates of all 10 atoms:
Nd  0.000  0.000  0.000
Nd  0.000  0.000  0.500
Nd  0.000  0.500  0.000
Nd  0.375  0.625  0.750
Nd  0.500  0.000  0.500
Nd  0.625  0.375  0.250
Bi  0.177  0.427  0.750
Bi  0.427  0.177  0.250
Bi  0.573  0.823  0.750
Bi  0.823  0.573  0.250

Largest 10 diffraction maxima, in order of falling intensity, 15 to 90 degrees two-theta:
30.8 deg, I 100
32.0 deg, I 72
28.2 deg, I 67
35.7 deg, I 38
46.2 deg, I 33
30.2 deg, I 30
51.5 deg, I 24
22.6 deg, I 24
67.3 deg, I 22
58.2 deg, I 21


# 7
Nd3Bi2: theoretical powder diffractogram (Cu Kα (weighted mean of Kα1 and Kα2)), based on a structure optimized by DFT (PBE).
Peak positions follow from Bragg's law for the DFT cell and can differ from measured ones.

a b c (Å): 9.741 8.321 8.397
angles (deg): 90.00 90.00 90.00
Fractional coordinates of all 20 atoms:
Nd  0.000  0.130  0.250
Nd  0.000  0.870  0.750
Nd  0.155  0.486  0.621
Nd  0.155  0.514  0.121
Nd  0.345  0.014  0.121
Nd  0.345  0.986  0.621
Nd  0.500  0.370  0.750
Nd  0.500  0.630  0.250
Nd  0.655  0.014  0.379
Nd  0.655  0.986  0.879
Nd  0.845  0.486  0.879
Nd  0.845  0.514  0.379
Bi  0.149  0.207  0.886
Bi  0.149  0.793  0.386
Bi  0.351  0.293  0.386
Bi  0.351  0.707  0.886
Bi  0.649  0.293  0.114
Bi  0.649  0.707  0.614
Bi  0.851  0.207  0.614
Bi  0.851  0.793  0.114

Largest 10 diffraction maxima, in order of falling intensity, 15 to 90 degrees two-theta:
31.6 deg, I 100
30.1 deg, I 58
23.7 deg, I 55
31.4 deg, I 52
33.6 deg, I 31
56.6 deg, I 29
35.1 deg, I 28
62.4 deg, I 23
38.8 deg, I 23
63.0 deg, I 21


# 8
Nd5Ni2Bi: theoretical powder diffractogram (Cu Kα (weighted mean of Kα1 and Kα2)), based on a structure optimized by DFT (PBE).
Peak positions follow from Bragg's law for the DFT cell and can differ from measured ones.

a b c (Å): 8.910 8.910 8.910
angles (deg): 126.53 126.53 79.02
Fractional coordinates of all 16 atoms:
Nd  0.000  0.000  0.000
Nd  0.020  0.520  0.811
Nd  0.209  0.020  0.500
Nd  0.291  0.791  0.811
Nd  0.480  0.291  0.500
Nd  0.500  0.500  0.000
Nd  0.520  0.709  0.500
Nd  0.709  0.209  0.189
Nd  0.791  0.980  0.500
Nd  0.980  0.480  0.189
Ni  0.129  0.371  0.500
Ni  0.371  0.871  0.241
Ni  0.629  0.129  0.759
Ni  0.871  0.629  0.500
Bi  0.250  0.250  0.000
Bi  0.750  0.750  0.000

Largest 10 diffraction maxima, in order of falling intensity, 15 to 90 degrees two-theta:
31.7 deg, I 100
35.4 deg, I 93
34.4 deg, I 57
30.4 deg, I 55
25.7 deg, I 32
55.5 deg, I 31
65.6 deg, I 28
41.4 deg, I 27
51.0 deg, I 26
66.0 deg, I 25


Please write out number 5 again, unchanged.
ZrNbBi: theoretical powder diffractogram (Cu Kα (weighted mean of Kα1 and Kα2)), based on a structure optimized by DFT (PBE).
Peak positions follow from Bragg's law for the DFT cell and can differ from measured ones.

a b c (Å): 3.807 4.807 7.444
angles (deg): 90.00 104.62 90.00
Fractional coordinates of all 6 atoms:
Zr  0.080  0.250  0.159
Zr  0.920  0.750  0.841
Nb  0.259  0.750  0.520
Nb  0.741  0.250  0.480
Bi  0.399  0.250  0.801
Bi  0.601  0.750  0.199

Largest 10 diffraction maxima, in order of falling intensity, 15 to 90 degrees two-theta:
35.4 deg, I 100
37.4 deg, I 41
66.2 deg, I 21
54.0 deg, I 15
62.2 deg, I 14
47.8 deg, I 11
22.2 deg, I 11
24.2 deg, I 7
42.1 deg, I 6
24.7 deg, I 5


What did the fifth record say?
ZrNbBi: theoretical powder diffractogram (Cu Kα (weighted mean of Kα1 and Kα2)), based on a structure optimized by DFT (PBE).
Peak positions follow from Bragg's law for the DFT cell and can differ from measured ones.

a b c (Å): 3.807 4.807 7.444
angles (deg): 90.00 104.62 90.00
Fractional coordinates of all 6 atoms:
Zr  0.080  0.250  0.159
Zr  0.920  0.750  0.841
Nb  0.259  0.750  0.520
Nb  0.741  0.250  0.480
Bi  0.399  0.250  0.801
Bi  0.601  0.750  0.199

Largest 10 diffraction maxima, in order of falling intensity, 15 to 90 degrees two-theta:
35.4 deg, I 100
37.4 deg, I 41
66.2 deg, I 21
54.0 deg, I 15
62.2 deg, I 14
47.8 deg, I 11
22.2 deg, I 11
24.2 deg, I 7
42.1 deg, I 6
24.7 deg, I 5